The following is a simulated X-ray diffraction stick pattern of SbHIrAuBr. It was derived from the GGA-PBE geometry in Alexandria, using Cu Kα (weighted mean of Kα1 and Kα2).
No peak broadening, texture or thermal motion is included.

Most intense lines, 2θ from 10° to 90°, by intensity:
2θ (°)  I/Imax  h k l
12.97  100  0 0 3
39.11  74  1 0 7
41.90  69  1 1 0
29.61  61  1 0 4
44.04  31  1 1 3
24.23  27  1 0 1
32.44  23  0 1 5
58.65  23  0 2 7

```
data_SbHIrAuBr
_symmetry_space_group_name_H-M 'R 3 m'
_symmetry_Int_Tables_number 160
_symmetry_space_group_name_Hall 'R 3 -2"'
_cell_length_a 4.3122
_cell_length_b 4.3122
_cell_length_c 20.4808
_cell_angle_alpha 90.00
_cell_angle_beta 90.00
_cell_angle_gamma 120.00
loop_
_atom_site_label
_atom_site_type_symbol
_atom_site_fract_x
_atom_site_fract_y
_atom_site_fract_z
Sb1 Sb 0.0000 0.0000 0.0000
H1 H 0.0000 0.0000 0.3740
Ir1 Ir 0.0000 0.0000 0.2970
Au1 Au 0.0000 0.0000 0.5646
Br1 Br 0.0000 0.0000 0.1459
```